For Li2Ce, a DFT-relaxed cell (GGA-PBE, Alexandria) gives the calculated powder diffractogram in this record (a wavelength of 1.5418 Å).
Kinematic intensities with the Lorentz-polarization factor, no thermal factor.

Cell and atoms:
abc: 2.9098 2.9098 15.6524
angles: 90.00 90.00 90.00
Fractional positions:
Li 0.0000 0.0000 0.1775
Li 0.0000 0.0000 0.8225
Li 0.5000 0.5000 0.3225
Li 0.5000 0.5000 0.6775
Ce 0.0000 0.0000 0.5000
Ce 0.5000 0.5000 0.0000

Principal peaks in the range 2θ = 10–90°, by intensity:
11.31 deg, I = 100; 31.27 deg, I = 39; 35.32 deg, I = 34; 22.72 deg, I = 22; 42.41 deg, I = 16; 45.59 deg, I = 13; 50.09 deg, I = 11; 51.55 deg, I = 10; 44.01 deg, I = 9; 34.38 deg, I = 9

For SrPm2RuO8, a DFT-relaxed cell (GGA-PBE, Alexandria) gives the calculated powder diffractogram in this record (a wavelength of 1.5418 Å).
Kinematic intensities with the Lorentz-polarization factor, no thermal factor.

Cell and atoms:
abc: 4.3083 5.2526 7.1014
angles: 90.06 107.11 90.41
Fractional positions:
Sr 0.0000 0.0000 0.0000
Pm 0.3715 0.4903 0.7039
Pm 0.6285 0.5097 0.2961
Ru 0.0000 0.0000 0.5000
O 0.1712 0.5061 0.9985
O 0.1782 0.7057 0.3962
O 0.2038 0.2371 0.3748
O 0.3540 0.0181 0.7553
O 0.6460 0.9819 0.2447
O 0.7962 0.7629 0.6252
O 0.8218 0.2943 0.6038
O 0.8288 0.4939 0.0015

Principal peaks in the range 2θ = 10–90°, by intensity:
31.38 deg, I = 100; 28.75 deg, I = 96; 27.42 deg, I = 73; 34.14 deg, I = 71; 45.17 deg, I = 61; 27.63 deg, I = 61; 13.04 deg, I = 41; 45.29 deg, I = 39; 54.96 deg, I = 34; 33.41 deg, I = 26

For TbDy2Cd2, a DFT-relaxed cell (GGA-PBE, Alexandria) gives the calculated powder diffractogram in this record (a wavelength of 1.5418 Å).
Kinematic intensities with the Lorentz-polarization factor, no thermal factor.

Cell and atoms:
abc: 3.7221 5.3524 13.8754
angles: 90.00 97.72 90.00
Fractional positions:
Tb 0.1495 0.2500 0.2976
Tb 0.8505 0.7500 0.7024
Dy 0.0459 0.7500 0.0910
Dy 0.2356 0.7500 0.4720
Dy 0.7644 0.2500 0.5280
Dy 0.9541 0.2500 0.9090
Cd 0.3591 0.2500 0.7185
Cd 0.4485 0.7500 0.8975
Cd 0.5515 0.2500 0.1025
Cd 0.6409 0.7500 0.2815

Principal peaks in the range 2θ = 10–90°, by intensity:
33.54 deg, I = 100; 32.56 deg, I = 18; 59.90 deg, I = 15; 47.40 deg, I = 12; 58.73 deg, I = 9; 60.60 deg, I = 8; 70.51 deg, I = 7; 48.94 deg, I = 7; 81.55 deg, I = 6; 60.02 deg, I = 6

For Tb10Mn13C18, a DFT-relaxed cell (GGA-PBE, Alexandria) gives the calculated powder diffractogram in this record (a wavelength of 1.5418 Å).
Kinematic intensities with the Lorentz-polarization factor, no thermal factor.

Cell and atoms:
abc: 8.7612 8.7612 8.7612
angles: 109.47 109.47 109.47
Fractional positions:
Tb 0.0000 0.0000 0.4100
Tb 0.0000 0.4100 0.0000
Tb 0.2500 0.5000 0.7500
Tb 0.2500 0.7500 0.5000
Tb 0.4100 0.0000 0.0000
Tb 0.5000 0.2500 0.7500
Tb 0.5000 0.7500 0.2500
Tb 0.5900 0.5900 0.5900
Tb 0.7500 0.2500 0.5000
Tb 0.7500 0.5000 0.2500
Mn 0.0000 0.0000 0.0000
Mn 0.0000 0.6675 0.8201
Mn 0.0000 0.8201 0.6675
Mn 0.1526 0.3325 0.3325
Mn 0.1799 0.1799 0.8474
Mn 0.1799 0.8474 0.1799
Mn 0.3325 0.1526 0.3325
Mn 0.3325 0.3325 0.1526
Mn 0.6675 0.0000 0.8201
Mn 0.6675 0.8201 0.0000
Mn 0.8201 0.0000 0.6675
Mn 0.8201 0.6675 0.0000
Mn 0.8474 0.1799 0.1799
C 0.0000 0.2186 0.7059
C 0.0000 0.4314 0.4314
C 0.0000 0.5686 0.5686
C 0.0000 0.7059 0.2186
C 0.2186 0.0000 0.7059
C 0.2186 0.7059 0.0000
C 0.2941 0.2941 0.5127
C 0.2941 0.5127 0.2941
C 0.4314 0.0000 0.4314
C 0.4314 0.4314 0.0000
C 0.4873 0.7814 0.7814
C 0.5127 0.2941 0.2941
C 0.5686 0.0000 0.5686
C 0.5686 0.5686 0.0000
C 0.7059 0.0000 0.2186
C 0.7059 0.2186 0.0000
C 0.7814 0.4873 0.7814
C 0.7814 0.7814 0.4873

Principal peaks in the range 2θ = 10–90°, by intensity:
30.61 deg, I = 100; 33.13 deg, I = 78; 35.49 deg, I = 63; 37.73 deg, I = 58; 56.04 deg, I = 47; 68.11 deg, I = 26; 27.89 deg, I = 25; 51.07 deg, I = 24; 45.73 deg, I = 23; 52.76 deg, I = 22

For Li2ErAu8, a DFT-relaxed cell (GGA-PBE, Alexandria) gives the calculated powder diffractogram in this record (a wavelength of 1.5418 Å).
Kinematic intensities with the Lorentz-polarization factor, no thermal factor.

Cell and atoms:
abc: 7.8498 7.8498 4.1082
angles: 105.06 105.06 59.33
Fractional positions:
Li 0.1555 0.1555 0.1558
Li 0.8445 0.8445 0.8442
Er 0.4393 0.5607 0.5000
Au 0.0300 0.9700 0.5000
Au 0.0421 0.5908 0.3159
Au 0.3080 0.3639 0.8361
Au 0.4092 0.9579 0.6841
Au 0.5958 0.0948 0.3449
Au 0.6361 0.6920 0.1639
Au 0.7288 0.2712 0.0000
Au 0.9052 0.4042 0.6551

Principal peaks in the range 2θ = 10–90°, by intensity:
38.03 deg, I = 100; 41.63 deg, I = 19; 44.09 deg, I = 19; 24.51 deg, I = 17; 37.09 deg, I = 14; 46.76 deg, I = 11; 13.27 deg, I = 9; 35.33 deg, I = 9; 23.48 deg, I = 8; 66.22 deg, I = 8

For Rh4Pb5, a DFT-relaxed cell (GGA-PBE, Alexandria) gives the calculated powder diffractogram in this record (a wavelength of 1.5418 Å).
Kinematic intensities with the Lorentz-polarization factor, no thermal factor.

Cell and atoms:
abc: 14.3935 13.8128 5.7714
angles: 83.90 72.60 23.50
Fractional positions:
Rh 0.0814 0.0814 0.4186
Rh 0.0842 0.0842 0.9158
Rh 0.2500 0.2500 0.2500
Rh 0.4186 0.4186 0.0814
Rh 0.5814 0.5814 0.9186
Rh 0.7500 0.7500 0.7500
Rh 0.9158 0.9158 0.0842
Rh 0.9186 0.9186 0.5814
Pb 0.0015 0.6663 0.3337
Pb 0.1637 0.8363 0.1637
Pb 0.2858 0.2858 0.7142
Pb 0.3337 0.9985 0.0015
Pb 0.4114 0.4114 0.5886
Pb 0.5886 0.5886 0.4114
Pb 0.6663 0.0015 0.9985
Pb 0.7142 0.7142 0.2858
Pb 0.8363 0.1637 0.8363
Pb 0.9985 0.3337 0.6663

Principal peaks in the range 2θ = 10–90°, by intensity:
41.14 deg, I = 100; 31.17 deg, I = 64; 29.18 deg, I = 59; 41.41 deg, I = 50; 35.26 deg, I = 39; 30.73 deg, I = 38; 40.07 deg, I = 31; 64.60 deg, I = 30; 32.59 deg, I = 25; 36.78 deg, I = 24

For RbLiSbBr6, a DFT-relaxed cell (GGA-PBE, Alexandria) gives the calculated powder diffractogram in this record (a wavelength of 1.5418 Å).
Kinematic intensities with the Lorentz-polarization factor, no thermal factor.

Cell and atoms:
abc: 7.1271 7.1271 7.7272
angles: 90.00 90.00 120.00
Fractional positions:
Rb 0.0000 0.0000 0.0000
Li 0.3333 0.6667 0.5000
Sb 0.6667 0.3333 0.5000
Br 0.3764 0.0031 0.7046
Br 0.3764 0.3733 0.2954
Br 0.6267 0.0031 0.2954
Br 0.6267 0.6236 0.7046
Br 0.9969 0.3733 0.7046
Br 0.9969 0.6236 0.2954

Principal peaks in the range 2θ = 10–90°, by intensity:
27.56 deg, I = 100; 34.23 deg, I = 82; 18.40 deg, I = 71; 44.01 deg, I = 35; 11.45 deg, I = 29; 40.39 deg, I = 27; 43.34 deg, I = 22; 14.35 deg, I = 21; 54.94 deg, I = 19; 53.99 deg, I = 14

For Ti4AlHg, a DFT-relaxed cell (GGA-PBE, Alexandria) gives the calculated powder diffractogram in this record (a wavelength of 1.5418 Å).
Kinematic intensities with the Lorentz-polarization factor, no thermal factor.

Cell and atoms:
abc: 10.3576 14.0975 2.8535
angles: 90.00 90.00 90.00
Fractional positions:
Ti 0.0485 0.2461 0.0000
Ti 0.0709 0.9218 0.0000
Ti 0.0815 0.5749 0.0000
Ti 0.2005 0.7407 0.0000
Ti 0.2995 0.2407 0.0000
Ti 0.4185 0.0749 0.0000
Ti 0.4291 0.4218 0.0000
Ti 0.4515 0.7461 0.0000
Ti 0.5485 0.2539 0.0000
Ti 0.5709 0.5782 0.0000
Ti 0.5815 0.9251 0.0000
Ti 0.7005 0.7593 0.0000
Ti 0.7995 0.2593 0.0000
Ti 0.9185 0.4251 0.0000
Ti 0.9291 0.0782 0.0000
Ti 0.9515 0.7539 0.0000
Al 0.1686 0.0911 0.5000
Al 0.3314 0.5911 0.5000
Al 0.6686 0.4089 0.5000
Al 0.8314 0.9089 0.5000
Hg 0.1770 0.4073 0.5000
Hg 0.3230 0.9073 0.5000
Hg 0.6770 0.0927 0.5000
Hg 0.8230 0.5927 0.5000

Principal peaks in the range 2θ = 10–90°, by intensity:
15.20 deg, I = 100; 39.75 deg, I = 83; 40.90 deg, I = 66; 38.31 deg, I = 48; 10.60 deg, I = 44; 26.58 deg, I = 37; 35.01 deg, I = 36; 41.59 deg, I = 28; 36.51 deg, I = 27; 35.93 deg, I = 27

For Pr2Sm8Er, a DFT-relaxed cell (GGA-PBE, Alexandria) gives the calculated powder diffractogram in this record (a wavelength of 1.5418 Å).
Kinematic intensities with the Lorentz-polarization factor, no thermal factor.

Cell and atoms:
abc: 9.0249 9.0249 6.8017
angles: 99.99 99.99 44.31
Fractional positions:
Pr 0.1959 0.1959 0.3017
Pr 0.8041 0.8041 0.6983
Sm 0.1762 0.6502 0.0975
Sm 0.2436 0.2436 0.8102
Sm 0.3498 0.8238 0.9025
Sm 0.4102 0.4102 0.5881
Sm 0.5898 0.5898 0.4119
Sm 0.6502 0.1762 0.0975
Sm 0.7564 0.7564 0.1898
Sm 0.8238 0.3498 0.9025
Er 0.0000 0.0000 0.5000

Principal peaks in the range 2θ = 10–90°, by intensity:
30.73 deg, I = 100; 32.33 deg, I = 90; 31.51 deg, I = 76; 29.45 deg, I = 76; 30.21 deg, I = 59; 30.93 deg, I = 49; 34.22 deg, I = 27; 23.21 deg, I = 27; 57.43 deg, I = 27; 32.72 deg, I = 26

For Dy4MgIn3, a DFT-relaxed cell (GGA-PBE, Alexandria) gives the calculated powder diffractogram in this record (a wavelength of 1.5418 Å).
Kinematic intensities with the Lorentz-polarization factor, no thermal factor.

Cell and atoms:
abc: 5.3103 5.3103 15.0412
angles: 90.00 90.00 90.00
Fractional positions:
Dy 0.0000 0.5000 0.1253
Dy 0.0000 0.5000 0.3747
Dy 0.0000 0.5000 0.6253
Dy 0.0000 0.5000 0.8747
Dy 0.5000 0.0000 0.1253
Dy 0.5000 0.0000 0.3747
Dy 0.5000 0.0000 0.6253
Dy 0.5000 0.0000 0.8747
Mg 0.0000 0.0000 0.0000
Mg 0.5000 0.5000 0.5000
In 0.0000 0.0000 0.2467
In 0.0000 0.0000 0.5000
In 0.0000 0.0000 0.7533
In 0.5000 0.5000 0.0000
In 0.5000 0.5000 0.2533
In 0.5000 0.5000 0.7467

Principal peaks in the range 2θ = 10–90°, by intensity:
33.74 deg, I = 100; 60.35 deg, I = 37; 48.46 deg, I = 18; 70.96 deg, I = 11; 80.96 deg, I = 11; 23.68 deg, I = 8; 80.84 deg, I = 5; 54.63 deg, I = 4; 41.64 deg, I = 3; 17.71 deg, I = 2

For TlGa3Se, a DFT-relaxed cell (GGA-PBE, Alexandria) gives the calculated powder diffractogram in this record (a wavelength of 1.5418 Å).
Kinematic intensities with the Lorentz-polarization factor, no thermal factor.

Cell and atoms:
abc: 5.3145 5.3145 5.3145
angles: 90.00 90.00 90.00
Fractional positions:
Tl 0.0000 0.0000 0.0000
Ga 0.0000 0.5000 0.5000
Ga 0.5000 0.0000 0.5000
Ga 0.5000 0.5000 0.0000
Se 0.5000 0.5000 0.5000

Principal peaks in the range 2θ = 10–90°, by intensity:
33.73 deg, I = 100; 29.10 deg, I = 91; 23.68 deg, I = 83; 48.45 deg, I = 72; 57.52 deg, I = 40; 41.63 deg, I = 38; 80.89 deg, I = 32; 60.33 deg, I = 25; 65.74 deg, I = 20; 54.61 deg, I = 18

What did the seventh record say?
For RbLiSbBr6, a DFT-relaxed cell (GGA-PBE, Alexandria) gives the calculated powder diffractogram in this record (a wavelength of 1.5418 Å).
Kinematic intensities with the Lorentz-polarization factor, no thermal factor.

Cell and atoms:
abc: 7.1271 7.1271 7.7272
angles: 90.00 90.00 120.00
Fractional positions:
Rb 0.0000 0.0000 0.0000
Li 0.3333 0.6667 0.5000
Sb 0.6667 0.3333 0.5000
Br 0.3764 0.0031 0.7046
Br 0.3764 0.3733 0.2954
Br 0.6267 0.0031 0.2954
Br 0.6267 0.6236 0.7046
Br 0.9969 0.3733 0.7046
Br 0.9969 0.6236 0.2954

Principal peaks in the range 2θ = 10–90°, by intensity:
27.56 deg, I = 100; 34.23 deg, I = 82; 18.40 deg, I = 71; 44.01 deg, I = 35; 11.45 deg, I = 29; 40.39 deg, I = 27; 43.34 deg, I = 22; 14.35 deg, I = 21; 54.94 deg, I = 19; 53.99 deg, I = 14